Structure and theoretical X-ray powder pattern of Ti2NiP2O10 (a structure optimized by DFT (GGA+U); copper Kα).
Neutral-atom scattering factors, no anomalous dispersion.

Crystal structure
```
data_Ti2NiP2O10
_cell_length_a 6.503
_cell_length_b 7.361
_cell_length_c 7.361
_cell_angle_alpha 90.00
_cell_angle_beta 90.77
_cell_angle_gamma 90.00
_symmetry_space_group_name_H-M 'P 1 21/c 1'
_symmetry_Int_Tables_number 14
loop_
_symmetry_equiv_pos_as_xyz
'x,y,z'
'-x,-y,-z'
'-x,y+1/2,-z+1/2'
'x,-y+1/2,z+1/2'
loop_
_atom_site_label
_atom_site_fract_x
_atom_site_fract_y
_atom_site_fract_z
_atom_site_occupancy
Ti1 0.236 0.224 0.159 1
Ni1 0.500 0.000 0.500 1
P1 0.256 0.626 0.373 1
O1 0.057 0.739 0.357 1
O2 0.250 0.511 0.547 1
O3 0.273 0.160 0.386 1
O4 0.279 0.001 0.705 1
O5 0.440 0.744 0.877 1
```

Largest 10 diffraction maxima, by angle, 2θ = 10–90°:
hkl, 2θ/deg, d (Å), intensity
1 0 0, 13.62, 6.503, 34
1 1 0, 18.20, 4.873, 19
1 1 1, 21.98, 4.045, 47
0 1 2, 27.09, 3.292, 100
2 0 0, 27.43, 3.251, 26
2 1 -1, 32.33, 2.769, 18
2 1 1, 32.61, 2.746, 25
0 2 2, 34.46, 2.602, 16
4 0 0, 56.64, 1.625, 22
1 4 2, 57.90, 1.593, 22